# 1
Diffraction record for ThSc4In5. The PXRD pattern is theoretical, not measured: it uses a crystal structure in Alexandria, relaxed with GGA-PBE and Cu Kα X-rays.
Lines closer than 0.1° are merged.

Principal peaks in the range 10° ≤ 2θ ≤ 80°, in order of rising 2θ:
2θ = 20.95°, I 13; 2θ = 29.57°, I 14; 2θ = 33.78°, I 92; 2θ = 34.30°, I 100; 2θ = 38.66°, I 63; 2θ = 41.17°, I 30; 2θ = 56.51°, I 17; 2θ = 57.75°, I 38; 2θ = 66.54°, I 18; 2θ = 67.49°, I 23

Crystal structure
```
data_ThSc4In5
_space_group_name_H-M_alt 'P m m m'
_space_group_IT_number 47
_space_group_name_Hall '-P 2 2'
_cell_length_a 3.2563
_cell_length_b 4.3852
_cell_length_c 16.6659
_cell_angle_alpha 90.00
_cell_angle_beta 90.00
_cell_angle_gamma 90.00
loop_
_atom_site_label
_atom_site_fract_x
_atom_site_fract_y
_atom_site_fract_z
_atom_site_occupancy
Th1 0.0000 0.0000 0.0000 1
Sc1 0.0000 0.0000 0.2133 1
Sc2 0.0000 0.0000 0.4048 1
In1 0.5000 0.5000 0.1196 1
In2 0.5000 0.5000 0.3082 1
In3 0.5000 0.5000 0.5000 1
```

---

# 2
Diffraction record for TbNdEr4Tm2. The PXRD pattern is theoretical, not measured: it uses a crystal structure in Alexandria, relaxed with GGA-PBE and Cu Kα X-rays.
Lines closer than 0.1° are merged.

Principal peaks in the range 10° ≤ 2θ ≤ 80°, in order of rising 2θ:
2θ = 26.98°, I 46; 2θ = 30.60°, I 100; 2θ = 41.25°, I 89; 2θ = 54.40°, I 20; 2θ = 55.63°, I 6; 2θ = 61.75°, I 27; 2θ = 63.73°, I 8; 2θ = 64.83°, I 23; 2θ = 70.45°, I 6; 2θ = 70.50°, I 12

Crystal structure
```
data_TbNdEr4Tm2
_space_group_name_H-M_alt 'I m m a'
_space_group_IT_number 74
_space_group_name_Hall '-I 2b 2'
_cell_length_a 6.7434
_cell_length_b 11.6911
_cell_length_c 13.2176
_cell_angle_alpha 90.00
_cell_angle_beta 90.00
_cell_angle_gamma 90.00
loop_
_atom_site_label
_atom_site_fract_x
_atom_site_fract_y
_atom_site_fract_z
_atom_site_occupancy
Tb1 0.2500 0.2500 0.2500 1
Nd1 0.0000 0.0000 0.0000 1
Er1 0.0000 0.0019 0.7471 1
Er2 0.2481 0.2500 0.5023 1
Tm1 0.0000 0.0000 0.5000 1
Tm2 0.2500 0.2500 0.7500 1
```